For Cu2Ag5, a structure optimized by DFT (PBE) gives the computed XRD peak list in this record (Cu Kα).
Peak positions follow from Bragg's law for the DFT cell and can differ from measured ones.

Structure:
Cell: 16.2485 16.2485 16.2485 Å, 10.07 10.07 10.07°
Element x y z (fractional)
1 Cu 0.2121 0.2121 0.2121
2 Cu 0.7879 0.7879 0.7879
3 Ag 0.0760 0.0760 0.0760
4 Ag 0.3586 0.3586 0.3586
5 Ag 0.5000 0.5000 0.5000
6 Ag 0.6414 0.6414 0.6414
7 Ag 0.9240 0.9240 0.9240

Largest 10 diffraction maxima, in order of rising 2θ, 10 to 80 degrees two-theta:
d [Å], I/Imax
2.694, 4.1
2.326, 100.0
2.309, 28.7
2.154, 3.4
2.010, 60.6
1.425, 19.9
1.418, 15.0
1.215, 11.4
1.213, 19.9
1.208, 7.5

For ZrHgO3, a structure optimized by DFT (PBE) gives the computed XRD peak list in this record (Cu Kα).
Peak positions follow from Bragg's law for the DFT cell and can differ from measured ones.

Structure:
Cell: 5.7935 8.1596 5.6459 Å, 90.00 90.00 90.00°
Element x y z (fractional)
1 Zr 0.0000 0.0000 0.0000
2 Zr 0.0000 0.5000 0.0000
3 Zr 0.5000 0.0000 0.5000
4 Zr 0.5000 0.5000 0.5000
5 Hg 0.0343 0.2500 0.4920
6 Hg 0.4657 0.7500 0.9920
7 Hg 0.5343 0.2500 0.0080
8 Hg 0.9657 0.7500 0.5080
9 O 0.0424 0.7500 0.1042
10 O 0.1978 0.5557 0.6949
11 O 0.1978 0.9443 0.6949
12 O 0.3022 0.0557 0.1949
13 O 0.3022 0.4443 0.1949
14 O 0.4576 0.2500 0.6042
15 O 0.5424 0.7500 0.3958
16 O 0.6978 0.5557 0.8051
17 O 0.6978 0.9443 0.8051
18 O 0.8022 0.0557 0.3051
19 O 0.8022 0.4443 0.3051
20 O 0.9576 0.2500 0.8958

Largest 10 diffraction maxima, in order of rising 2θ, 10 to 80 degrees two-theta:
d [Å], I/Imax
4.043, 12.4
2.897, 23.8
2.872, 100.0
2.823, 23.5
2.040, 12.6
2.022, 21.8
1.668, 27.9
1.639, 22.6
1.436, 12.9
1.289, 11.9

For DyGe2O4, a structure optimized by DFT (PBE) gives the computed XRD peak list in this record (Cu Kα).
Peak positions follow from Bragg's law for the DFT cell and can differ from measured ones.

Structure:
Cell: 6.5465 6.5465 6.5465 Å, 60.00 60.00 60.00°
Element x y z (fractional)
1 Dy 0.1250 0.1250 0.1250
2 Dy 0.8750 0.8750 0.8750
3 Ge 0.0000 0.5000 0.5000
4 Ge 0.5000 0.0000 0.5000
5 Ge 0.5000 0.5000 0.0000
6 Ge 0.5000 0.5000 0.5000
7 O 0.2595 0.2595 0.2595
8 O 0.2595 0.2595 0.7216
9 O 0.2595 0.7216 0.2595
10 O 0.2784 0.7405 0.7405
11 O 0.7216 0.2595 0.2595
12 O 0.7405 0.2784 0.7405
13 O 0.7405 0.7405 0.2784
14 O 0.7405 0.7405 0.7405

Largest 10 diffraction maxima, in order of rising 2θ, 10 to 80 degrees two-theta:
d [Å], I/Imax
3.273, 56.6
2.791, 100.0
2.673, 6.1
1.890, 23.5
1.782, 38.4
1.637, 38.0
1.464, 10.1
1.412, 12.4
1.237, 12.2
1.205, 21.3